No. 1
Diffraction record for Ce4ZnRu4. The powder diffractogram is calculated, not measured: it uses DFT lattice parameters and positions (PBE) and CuKα.
Neutral-atom scattering factors, no anomalous dispersion.

Principal peaks in the range 15 to 90 degrees two-theta, low angle first:
28.53 deg, rel. 136; 28.77 deg, rel. 95; 32.25 deg, rel. 1000; 34.63 deg, rel. 413; 46.26 deg, rel. 299; 48.04 deg, rel. 649; 59.05 deg, rel. 286; 67.49 deg, rel. 80; 76.79 deg, rel. 101; 78.13 deg, rel. 105; 82.11 deg, rel. 146; 87.06 deg, rel. 145

```
Ce4ZnRu4
1.0
-4.388 4.388 2.591
4.388 -4.388 2.591
4.388 4.388 -2.591
Ce Zn Ru
4 1 4
Direct
0.089 0.698 0.787
0.302 0.089 0.391
0.698 0.911 0.609
0.911 0.302 0.213
0.500 0.500 0.000
0.232 0.406 0.638
0.406 0.768 0.174
0.594 0.232 0.826
0.768 0.594 0.362
```

=====

No. 2
Diffraction record for Ce5ZnRu2. The powder diffractogram is calculated, not measured: it uses DFT lattice parameters and positions (PBE) and CuKα.
Neutral-atom scattering factors, no anomalous dispersion.

Principal peaks in the range 15 to 90 degrees two-theta, low angle first:
27.37 deg, rel. 243; 31.44 deg, rel. 176; 32.52 deg, rel. 961; 33.56 deg, rel. 164; 34.08 deg, rel. 195; 34.82 deg, rel. 565; 36.54 deg, rel. 1000; 39.33 deg, rel. 540; 43.63 deg, rel. 176; 52.81 deg, rel. 267; 53.53 deg, rel. 327; 69.49 deg, rel. 168

```
Ce5ZnRu2
1.0
2.291 -5.300 0.000
2.291 5.300 0.000
0.000 0.000 15.458
Ce Zn Ru
10 2 4
Direct
0.072 0.928 0.608
0.072 0.928 0.892
0.214 0.786 0.250
0.399 0.601 0.573
0.399 0.601 0.927
0.601 0.399 0.073
0.601 0.399 0.427
0.786 0.214 0.750
0.928 0.072 0.108
0.928 0.072 0.392
0.499 0.501 0.250
0.501 0.499 0.750
0.257 0.743 0.087
0.257 0.743 0.413
0.743 0.257 0.587
0.743 0.257 0.913
```

=====

No. 3
Diffraction record for Ce2Zn4Ru. The powder diffractogram is calculated, not measured: it uses DFT lattice parameters and positions (PBE) and CuKα.
Neutral-atom scattering factors, no anomalous dispersion.

Principal peaks in the range 15 to 90 degrees two-theta, low angle first:
24.81 deg, rel. 333; 32.79 deg, rel. 836; 35.37 deg, rel. 1000; 38.93 deg, rel. 984; 39.71 deg, rel. 244; 41.55 deg, rel. 763; 42.96 deg, rel. 347; 50.89 deg, rel. 173; 53.60 deg, rel. 357; 57.42 deg, rel. 290; 65.87 deg, rel. 418; 77.05 deg, rel. 321

```
Ce2Zn4Ru
1.0
7.177 0.000 0.000
0.000 7.177 0.000
0.000 0.000 5.199
Ce Zn Ru
4 8 2
Direct
0.250 0.250 0.220
0.250 0.750 0.000
0.750 0.250 0.000
0.750 0.750 0.780
0.065 0.065 0.709
0.065 0.435 0.709
0.435 0.065 0.709
0.435 0.435 0.709
0.565 0.565 0.291
0.565 0.935 0.291
0.935 0.565 0.291
0.935 0.935 0.291
0.250 0.750 0.500
0.750 0.250 0.500
```

=====

No. 4
Diffraction record for Ce3Zn3Ru2. The powder diffractogram is calculated, not measured: it uses DFT lattice parameters and positions (PBE) and CuKα.
Neutral-atom scattering factors, no anomalous dispersion.

Principal peaks in the range 15 to 90 degrees two-theta, low angle first:
20.07 deg, rel. 289; 26.08 deg, rel. 328; 30.55 deg, rel. 388; 33.85 deg, rel. 1000; 35.33 deg, rel. 834; 37.77 deg, rel. 533; 37.88 deg, rel. 593; 38.96 deg, rel. 677; 42.27 deg, rel. 255; 48.14 deg, rel. 194; 55.39 deg, rel. 345; 64.51 deg, rel. 184

```
Ce3Zn3Ru2
1.0
7.705 -2.312 0.000
7.705 2.312 0.000
-0.752 0.000 4.764
Ce Zn Ru
3 3 2
Direct
0.000 0.000 0.000
0.163 0.163 0.570
0.837 0.837 0.430
0.371 0.371 0.950
0.500 0.500 0.500
0.629 0.629 0.050
0.210 0.210 0.111
0.790 0.790 0.889
```

=====

No. 5
Diffraction record for Ce6S5. The powder diffractogram is calculated, not measured: it uses DFT lattice parameters and positions (PBE) and CuKα.
Neutral-atom scattering factors, no anomalous dispersion.

Principal peaks in the range 15 to 90 degrees two-theta, low angle first:
15.47 deg, rel. 6; 27.34 deg, rel. 853; 31.68 deg, rel. 1000; 45.41 deg, rel. 721; 53.80 deg, rel. 206; 53.84 deg, rel. 206; 56.42 deg, rel. 249; 66.17 deg, rel. 115; 73.00 deg, rel. 165; 75.22 deg, rel. 318; 83.91 deg, rel. 242

```
Ce6S5
1.0
3.461 -5.990 0.000
3.461 5.990 0.000
-2.314 0.000 6.523
Ce S
6 5
Direct
0.082 0.417 0.750
0.249 0.249 0.253
0.417 0.082 0.750
0.583 0.918 0.250
0.751 0.751 0.747
0.918 0.583 0.250
0.000 0.000 0.500
0.166 0.834 0.000
0.332 0.668 0.500
0.668 0.332 0.500
0.834 0.166 0.000
```

=====

No. 6
Diffraction record for Ce5S8. The powder diffractogram is calculated, not measured: it uses DFT lattice parameters and positions (PBE) and CuKα.
Neutral-atom scattering factors, no anomalous dispersion.

Principal peaks in the range 15 to 90 degrees two-theta, low angle first:
15.02 deg, rel. 185; 25.04 deg, rel. 1000; 26.17 deg, rel. 215; 30.31 deg, rel. 496; 39.70 deg, rel. 517; 43.39 deg, rel. 694; 45.49 deg, rel. 133; 50.75 deg, rel. 144; 60.26 deg, rel. 235; 68.94 deg, rel. 146; 79.63 deg, rel. 205; 85.06 deg, rel. 149

```
Ce5S8
1.0
0.000 5.898 5.898
5.898 0.000 5.898
5.898 5.898 0.000
Ce S
5 8
Direct
0.000 0.000 0.000
0.379 0.379 0.379
0.379 0.379 0.862
0.379 0.862 0.379
0.862 0.379 0.379
0.135 0.135 0.135
0.135 0.135 0.596
0.135 0.596 0.135
0.166 0.611 0.611
0.596 0.135 0.135
0.611 0.166 0.611
0.611 0.611 0.166
0.611 0.611 0.611
```

=====

- Number 5 is which compound?
  Ce6S5